1.
Structure and simulated powder diffractogram of AlZnNiOs (a structure optimized by DFT (PBE); copper Kα).

Cell and atoms:
Cell lengths 5.9410, 5.9410, 5.9410 Å; angles 90.00, 90.00, 90.00 degrees
Space group F-43m (No. 216)
Inequivalent atoms, fractional coordinates:
Al 0.0000 0.0000 0.0000 [4 per cell]
Zn 0.0000 0.0000 0.5000 [4 per cell]
Ni 0.2500 0.2500 0.7500 [4 per cell]
Os 0.2500 0.2500 0.2500 [4 per cell]

Most intense lines, 2θ from 10° to 90°, sorted by position:
h k l	Position (°2θ)	d [Å]	I_rel
1 1 1	26.0	3.430	34.0
2 0 0	30.1	2.971	25.2
2 2 0	43.1	2.100	100.0
3 1 1	51.0	1.791	17.3
2 2 2	53.4	1.715	6.9
4 0 0	62.5	1.485	16.2
3 3 1	68.9	1.363	7.3
4 2 0	70.9	1.328	9.0
4 2 2	78.9	1.213	32.6
5 1 1	84.8	1.143	5.8


2.
Structure and simulated powder diffractogram of AlNi3P (a structure optimized by DFT (PBE); copper Kα).

Cell and atoms:
Cell lengths 4.8582, 3.7059, 7.3094 Å; angles 90.00, 108.92, 90.00 degrees
Space group P2/m (No. 10)
Inequivalent atoms, fractional coordinates:
Al 0.1661 0.0000 0.3329 [2 per cell]
Ni 0.0000 0.5000 0.5000 [1 per cell]
Ni 0.1130 0.5000 0.8660 [2 per cell]
Ni 0.3470 0.0000 0.6982 [2 per cell]
Ni 0.5000 0.5000 0.5000 [1 per cell]
P 0.4201 0.5000 0.1685 [2 per cell]

Most intense lines, 2θ from 10° to 90°, sorted by position:
h k l	Position (°2θ)	d [Å]	I_rel
0 0 1	12.8	6.914	41.7
0 1 0	24.0	3.706	28.6
1 0 1	26.5	3.358	24.3
0 1 2	35.5	2.528	48.4
2 1 -1	44.6	2.032	97.5
2 0 -3	45.8	1.980	36.4
0 1 3	46.4	1.957	100.0
2 1 0	46.5	1.953	30.4
0 2 0	49.2	1.853	50.6
2 0 2	54.7	1.679	28.2


3.
Structure and simulated powder diffractogram of AlNi7P2 (a structure optimized by DFT (PBE); copper Kα).

Cell and atoms:
Cell lengths 3.6413, 3.6413, 17.6824 Å; angles 90.00, 90.00, 90.00 degrees
Space group I4/mmm (No. 139)
Inequivalent atoms, fractional coordinates:
Al 0.0000 0.0000 0.0000 [2 per cell]
Ni 0.0000 0.0000 0.5000 [2 per cell]
Ni 0.0000 0.5000 0.1008 [8 per cell]
Ni 0.0000 0.5000 0.2500 [4 per cell]
P 0.0000 0.0000 0.3278 [4 per cell]

Most intense lines, 2θ from 10° to 90°, sorted by position:
h k l	Position (°2θ)	d [Å]	I_rel
1 0 1	25.0	3.566	11.1
0 0 6	30.3	2.947	12.4
1 1 0	34.8	2.575	28.6
1 1 2	36.3	2.472	10.9
1 1 4	40.5	2.225	15.3
0 0 8	40.8	2.210	11.6
1 1 6	46.9	1.939	100.0
2 0 0	50.1	1.821	50.3
2 0 8	66.5	1.405	9.8
2 2 0	73.6	1.287	14.7


4.
Structure and simulated powder diffractogram of AlNi2P (a structure optimized by DFT (PBE); copper Kα).

Cell and atoms:
Cell lengths 6.9198, 5.5538, 5.2116 Å; angles 90.00, 90.73, 90.00 degrees
Space group P2_1/c (No. 14)
Inequivalent atoms, fractional coordinates:
Al 0.1204 0.1205 0.3139 [4 per cell]
Ni 0.1566 0.6828 0.4885 [4 per cell]
Ni 0.4074 0.1956 0.0070 [4 per cell]
P 0.3646 0.5641 0.1807 [4 per cell]

Most intense lines, 2θ from 10° to 90°, sorted by position:
h k l	Position (°2θ)	d [Å]	I_rel
2 1 0	30.4	2.936	100.0
0 2 0	32.2	2.777	33.3
0 0 2	34.4	2.606	45.7
2 2 -1	45.2	2.005	50.0
2 2 1	45.5	1.994	52.6
2 1 -2	46.3	1.960	77.9
2 1 2	46.9	1.939	77.0
0 2 2	47.9	1.900	48.1
0 3 1	52.5	1.744	41.3
4 0 0	52.9	1.730	32.4


5.
Structure and simulated powder diffractogram of Al2Ni21P6 (a structure optimized by DFT (PBE); copper Kα).

Cell and atoms:
Cell lengths 11.0094, 11.0094, 11.0094 Å; angles 90.00, 90.00, 90.00 degrees
Space group Fm-3m (No. 225)
Inequivalent atoms, fractional coordinates:
Al 0.2500 0.2500 0.2500 [8 per cell]
Ni 0.0000 0.0000 0.0000 [4 per cell]
Ni 0.0000 0.1741 0.1741 [48 per cell]
Ni 0.1194 0.1194 0.3806 [32 per cell]
P 0.0000 0.0000 0.2638 [24 per cell]

Most intense lines, 2θ from 10° to 90°, sorted by position:
h k l	Position (°2θ)	d [Å]	I_rel
2 2 0	22.8	3.892	11.3
4 2 2	40.1	2.247	12.4
3 3 3	42.7	2.119	100.0
4 4 0	46.7	1.946	29.1
5 3 1	48.9	1.861	29.9
6 0 0	49.7	1.835	20.5
6 2 2	55.4	1.660	10.2
6 6 0	72.9	1.297	15.7
5 5 5	74.7	1.271	12.2
8 4 4	86.6	1.124	17.7


6.
Structure and simulated powder diffractogram of Al3Ni20P6 (a structure optimized by DFT (PBE); copper Kα).

Cell and atoms:
Cell lengths 11.0354, 11.0354, 11.0354 Å; angles 90.00, 90.00, 90.00 degrees
Space group Fm-3m (No. 225)
Inequivalent atoms, fractional coordinates:
Al 0.0000 0.0000 0.0000 [4 per cell]
Al 0.2500 0.2500 0.2500 [8 per cell]
Ni 0.0000 0.1725 0.1725 [48 per cell]
Ni 0.1204 0.1204 0.3796 [32 per cell]
P 0.0000 0.0000 0.2686 [24 per cell]

Most intense lines, 2θ from 10° to 90°, sorted by position:
h k l	Position (°2θ)	d [Å]	I_rel
2 2 0	22.8	3.902	18.6
4 2 0	36.4	2.468	11.2
3 3 3	42.6	2.124	100.0
4 4 0	46.6	1.951	27.5
5 3 1	48.8	1.865	41.0
6 0 0	49.6	1.839	20.9
6 2 2	55.2	1.664	13.5
6 6 0	72.7	1.301	15.3
5 5 5	74.5	1.274	11.4
8 4 4	86.4	1.126	18.5


7.
Structure and simulated powder diffractogram of Pa4Al16Ni3 (a structure optimized by DFT (PBE); copper Kα).

Cell and atoms:
Cell lengths 6.0790, 6.0790, 11.1945 Å; angles 90.00, 90.00, 90.00 degrees
Space group P4/mmm (No. 123)
Inequivalent atoms, fractional coordinates:
Pa 0.0000 0.5000 0.1894 [4 per cell]
Al 0.0000 0.0000 0.1992 [2 per cell]
Al 0.2212 0.2212 0.0000 [4 per cell]
Al 0.2459 0.2459 0.3819 [8 per cell]
Al 0.5000 0.5000 0.2207 [2 per cell]
Ni 0.0000 0.5000 0.5000 [2 per cell]
Ni 0.5000 0.5000 0.0000 [1 per cell]

Most intense lines, 2θ from 10° to 90°, sorted by position:
h k l	Position (°2θ)	d [Å]	I_rel
1 1 0	20.7	4.298	100.0
0 0 3	23.8	3.731	25.0
1 1 2	26.1	3.409	38.3
2 0 0	29.4	3.039	46.5
1 1 3	31.8	2.818	87.2
2 0 2	33.6	2.671	37.8
2 0 3	38.2	2.357	84.2
2 2 0	42.0	2.149	52.0
3 1 0	47.3	1.922	25.0
3 1 3	53.6	1.709	49.3


8.
Structure and simulated powder diffractogram of PaAl12Ni4 (a structure optimized by DFT (PBE); copper Kα).

Cell and atoms:
Cell lengths 8.4577, 8.4577, 8.4577 Å; angles 90.00, 90.00, 90.00 degrees
Space group Im-3 (No. 204)
Inequivalent atoms, fractional coordinates:
Pa 0.0000 0.0000 0.0000 [2 per cell]
Al 0.0000 0.3327 0.1721 [24 per cell]
Ni 0.2500 0.2500 0.2500 [8 per cell]

Most intense lines, 2θ from 10° to 90°, sorted by position:
h k l	Position (°2θ)	d [Å]	I_rel
1 1 0	14.8	5.981	100.0
2 1 1	25.8	3.453	61.2
2 2 0	29.9	2.990	83.5
3 0 1	33.5	2.675	78.6
3 1 2	39.9	2.260	79.7
4 0 0	42.8	2.114	24.4
4 2 2	53.0	1.726	65.4
4 3 1	55.4	1.659	38.7
5 2 3	68.4	1.372	21.8
6 0 2	70.4	1.337	19.5


- Which formula does entry 8 have?
  PaAl12Ni4